No. 1
The following is a theoretical X-ray powder pattern of Li4Ni5SbO12. It was derived from a cell relaxed with GGA+U, using Cu Ka.
Neutral-atom scattering factors, no anomalous dispersion.

Cell and atoms:
```
data_Li4Ni5SbO12
_chemical_formula_sum 'Li8 Ni10 Sb2 O24'
_cell_length_a 5.135
_cell_length_b 8.774
_cell_length_c 10.007
_cell_angle_alpha 90.00
_cell_angle_beta 90.48
_cell_angle_gamma 90.00
_space_group_name_H-M_alt 'C 1 2/m 1'
_space_group_IT_number 12
loop_
_space_group_symop_operation_xyz
'x,y,z'
'-x,-y,-z'
'-x,y,-z'
'x,-y,z'
'x+1/2,y+1/2,z'
'-x+1/2,-y+1/2,-z'
'-x+1/2,y+1/2,-z'
'x+1/2,-y+1/2,z'
loop_
_atom_site_label
_atom_site_fract_x
_atom_site_fract_y
_atom_site_fract_z
_atom_site_occupancy
Li1 0.099 0.246 0.248 1
Ni1 0.000 0.000 0.000 1
Ni2 0.000 0.165 0.500 1
Ni3 0.000 0.336 0.000 1
Sb1 0.000 0.500 0.500 1
O1 0.153 0.331 0.612 1
O2 0.160 0.179 0.897 1
O3 0.168 0.500 0.908 1
O4 0.170 0.000 0.604 1
```

Peak list (10 most intense, 2θ = 5–70°, in order of rising 2θ)
index  2θ (°)  I/Imax
0 0 2  17.73  100.0
2 0 0  34.94  10.6
1 3 1  36.48  36.9
2 0 -2  39.31  10.1
2 0 2  39.59  9.4
1 3 -3  44.74  19.0
1 3 3  44.93  17.6
1 3 -5  58.59  10.0
1 3 5  58.85  8.4
0 6 0  63.61  12.2

---

No. 2
The following is a theoretical X-ray powder pattern of Li3Ni2SbO6. It was derived from a cell relaxed with GGA+U, using Cu Ka.
Neutral-atom scattering factors, no anomalous dispersion.

Cell and atoms:
```
data_Li3Ni2SbO6
_chemical_formula_sum 'Li6 Ni4 Sb2 O12'
_cell_length_a 5.250
_cell_length_b 9.049
_cell_length_c 5.231
_cell_angle_alpha 90.00
_cell_angle_beta 110.18
_cell_angle_gamma 90.00
_space_group_name_H-M_alt 'C 1 2/m 1'
_space_group_IT_number 12
loop_
_space_group_symop_operation_xyz
'x,y,z'
'-x,-y,-z'
'-x,y,-z'
'x,-y,z'
'x+1/2,y+1/2,z'
'-x+1/2,-y+1/2,-z'
'-x+1/2,y+1/2,-z'
'x+1/2,-y+1/2,z'
loop_
_atom_site_label
_atom_site_fract_x
_atom_site_fract_y
_atom_site_fract_z
_atom_site_occupancy
Li1 0.000 0.000 0.000 1
Li2 0.000 0.329 0.000 1
Ni1 0.000 0.167 0.500 1
Sb1 0.000 0.500 0.500 1
O1 0.239 0.340 0.733 1
O2 0.241 0.500 0.271 1
```

Peak list (10 most intense, 2θ = 5–70°, in order of rising 2θ)
index  2θ (°)  I/Imax
0 0 1  18.07  100.0
2 0 -1  34.65  16.8
1 3 0  34.87  33.9
1 3 -1  36.42  23.5
2 0 -2  42.05  23.5
1 3 1  42.51  45.6
1 3 -2  46.29  12.9
1 3 2  56.25  13.0
3 3 -1  61.24  13.6
0 6 0  61.44  20.0